[1]
Structure and calculated powder X-ray diffraction pattern of TcAuF6 (a DFT-relaxed cell (PBE, Alexandria); Cu Kα X-rays).
No peak broadening, texture or thermal motion is included.

Structural model:
```
data_TcAuF6
_symmetry_space_group_name_H-M 'C 1 2/m 1'
_symmetry_Int_Tables_number 12
_cell_length_a 5.4232
_cell_length_b 8.7330
_cell_length_c 5.6946
_cell_angle_alpha 90.00
_cell_angle_beta 91.93
_cell_angle_gamma 90.00
loop_
_symmetry_equiv_pos_as_xyz
'x,y,z'
'-x,-y,-z'
'-x,y,-z'
'x,-y,z'
'x+1/2,y+1/2,z'
'-x+1/2,-y+1/2,-z'
'-x+1/2,y+1/2,-z'
'x+1/2,-y+1/2,z'
loop_
_atom_site_label
_atom_site_fract_x
_atom_site_fract_y
_atom_site_fract_z
Tc1 0.0000 0.0000 0.0000
Au1 0.0000 0.5000 0.5000
F1 0.1178 0.1497 0.7926
F2 0.1741 0.5000 0.8307
```

Top 10 peaks for 2θ from 10° to 90°, low angle first:
Position (°2θ), I (rel.), index
20.34, 87, 0 2 0
24.51, 100, 1 1 -1
25.22, 93, 1 1 1
33.05, 21, 2 0 0
37.73, 33, 0 2 2
38.26, 44, 1 3 -1
39.12, 25, 2 2 0
51.58, 16, 1 1 -3
51.78, 16, 2 2 2
52.85, 15, 0 4 2

=====

[2]
Structure and calculated powder X-ray diffraction pattern of TlAu2F8 (a DFT-relaxed cell (PBE, Alexandria); Cu Kα X-rays).
No peak broadening, texture or thermal motion is included.

Structural model:
```
data_TlAu2F8
_symmetry_space_group_name_H-M 'C 1 2/c 1'
_symmetry_Int_Tables_number 15
_cell_length_a 9.0346
_cell_length_b 10.3455
_cell_length_c 9.2519
_cell_angle_alpha 90.00
_cell_angle_beta 101.16
_cell_angle_gamma 90.00
loop_
_symmetry_equiv_pos_as_xyz
'x,y,z'
'-x,-y,-z'
'-x,y,-z+1/2'
'x,-y,z+1/2'
'x+1/2,y+1/2,z'
'-x+1/2,-y+1/2,-z'
'-x+1/2,y+1/2,-z+1/2'
'x+1/2,-y+1/2,z+1/2'
loop_
_atom_site_label
_atom_site_fract_x
_atom_site_fract_y
_atom_site_fract_z
Tl1 0.0000 0.1909 0.2500
Au1 0.1970 0.0693 0.5856
F1 0.0843 0.0027 0.3865
F2 0.1039 0.2413 0.4900
F3 0.1629 0.3586 0.2312
F4 0.2213 0.1130 0.1719
```

Top 10 peaks for 2θ from 10° to 90°, low angle first:
Position (°2θ), I (rel.), index
13.15, 62, 1 1 0
15.19, 100, 1 1 -1
21.95, 36, 1 1 -2
25.23, 27, 1 1 2
26.48, 30, 2 2 0
26.87, 41, 2 2 -1
30.14, 31, 1 3 1
30.81, 21, 2 0 2
33.97, 29, 3 1 -2
34.34, 21, 0 2 3

=====

[3]
Structure and calculated powder X-ray diffraction pattern of TlAuF4 (a DFT-relaxed cell (PBE, Alexandria); Cu Kα X-rays).
No peak broadening, texture or thermal motion is included.

Structural model:
```
data_TlAuF4
_symmetry_space_group_name_H-M 'I 41 m d'
_symmetry_Int_Tables_number 109
_symmetry_space_group_name_Hall 'I 4bw -2'
_cell_length_a 7.4295
_cell_length_b 7.4295
_cell_length_c 7.7112
_cell_angle_alpha 90.00
_cell_angle_beta 90.00
_cell_angle_gamma 90.00
loop_
_atom_site_label
_atom_site_fract_x
_atom_site_fract_y
_atom_site_fract_z
Tl1 0.0000 0.0000 0.0000
Au1 0.0000 0.0000 0.5225
F1 0.0000 0.1965 0.2272
F2 0.0000 0.2190 0.7846
```

Top 10 peaks for 2θ from 10° to 90°, low angle first:
Position (°2θ), I (rel.), index
23.96, 91, 2 0 0
28.72, 100, 1 1 2
34.13, 25, 2 2 0
45.19, 71, 3 1 2
49.05, 17, 4 0 0
53.56, 19, 2 0 4
55.30, 18, 4 2 0
57.83, 20, 3 3 2
68.89, 16, 5 1 2
75.55, 13, 4 2 4

=====

What did the first record say?
Structure and calculated powder X-ray diffraction pattern of TcAuF6 (a DFT-relaxed cell (PBE, Alexandria); Cu Kα X-rays).
No peak broadening, texture or thermal motion is included.

Structural model:
```
data_TcAuF6
_symmetry_space_group_name_H-M 'C 1 2/m 1'
_symmetry_Int_Tables_number 12
_cell_length_a 5.4232
_cell_length_b 8.7330
_cell_length_c 5.6946
_cell_angle_alpha 90.00
_cell_angle_beta 91.93
_cell_angle_gamma 90.00
loop_
_symmetry_equiv_pos_as_xyz
'x,y,z'
'-x,-y,-z'
'-x,y,-z'
'x,-y,z'
'x+1/2,y+1/2,z'
'-x+1/2,-y+1/2,-z'
'-x+1/2,y+1/2,-z'
'x+1/2,-y+1/2,z'
loop_
_atom_site_label
_atom_site_fract_x
_atom_site_fract_y
_atom_site_fract_z
Tc1 0.0000 0.0000 0.0000
Au1 0.0000 0.5000 0.5000
F1 0.1178 0.1497 0.7926
F2 0.1741 0.5000 0.8307
```

Top 10 peaks for 2θ from 10° to 90°, low angle first:
Position (°2θ), I (rel.), index
20.34, 87, 0 2 0
24.51, 100, 1 1 -1
25.22, 93, 1 1 1
33.05, 21, 2 0 0
37.73, 33, 0 2 2
38.26, 44, 1 3 -1
39.12, 25, 2 2 0
51.58, 16, 1 1 -3
51.78, 16, 2 2 2
52.85, 15, 0 4 2